Computed powder X-ray diffraction pattern of TaZnCoIr for Cu Kα, from a crystal structure in Alexandria, relaxed with GGA-PBE.

Most intense lines, 2θ from 5° to 70°, in order of rising 2θ:
2θ (°)	I/Imax	h k l
25.5	37.2	1 0 1
40.9	100.0	1 1 2
44.8	38.7	2 0 0
52.2	11.4	2 1 1
53.0	11.7	0 0 4
65.1	12.5	2 2 0

Cell and atoms:
```
data_TaZnCoIr
_chemical_formula_sum 'Ta2 Zn2 Co2 Ir2'
_cell_length_a 4.0503
_cell_length_b 4.0503
_cell_length_c 6.9121
_cell_angle_alpha 90.00
_cell_angle_beta 90.00
_cell_angle_gamma 90.00
_space_group_name_H-M_alt 'I -4 m 2'
_space_group_IT_number 119
_space_group_name_Hall 'I -4 -2'
loop_
_atom_site_label
_atom_site_fract_x
_atom_site_fract_y
_atom_site_fract_z
Ta1 0.0000 0.0000 0.0000
Zn1 0.0000 0.0000 0.5000
Co1 0.0000 0.5000 0.7500
Ir1 0.0000 0.5000 0.2500
```